Record 1
Computed X-ray powder pattern
Compound: Li4Nb3Cu3Sn2O16
Radiation: copper Kα
Structure: a DFT-relaxed cell (GGA-PBE, the Materials Project)
Lines closer than 0.1° are merged.

Largest 10 diffraction maxima, sorted by position, 2θ = 10–80°:
2θ = 17.76°, I = 57, hkl 0 0 2; 2θ = 18.20°, I = 60, hkl 2 0 -1; 2θ = 18.73°, I = 87, hkl 1 1 -1; 2θ = 19.14°, I = 55, hkl 1 1 1; 2θ = 33.26°, I = 44, hkl 3 1 -2; 2θ = 33.79°, I = 40, hkl 4 0 -1; 2θ = 34.72°, I = 100, hkl 4 0 1; 2θ = 35.21°, I = 43, hkl 2 2 1; 2θ = 43.04°, I = 38, hkl 2 2 -3; 2θ = 59.49°, I = 42, hkl 6 2 0

Cell and atoms:
```
data_Li4Nb3Cu3Sn2O16
_space_group_name_H-M_alt 'C 1 m 1'
_space_group_IT_number 8
_space_group_name_Hall 'C -2y'
_cell_length_a 10.8583
_cell_length_b 6.0865
_cell_length_c 10.0030
_cell_angle_alpha 90.00
_cell_angle_beta 93.00
_cell_angle_gamma 90.00
loop_
_atom_site_label
_atom_site_type_symbol
_atom_site_fract_x
_atom_site_fract_y
_atom_site_fract_z
Li1 Li 0.0000 0.0000 0.0000
Li2 Li 0.0212 0.0000 0.5192
Li3 Li 0.1798 0.5000 0.9088
Li4 Li 0.3532 0.0000 0.4350
Nb1 Nb 0.1128 0.2520 0.2346
Nb2 Nb 0.1927 0.0000 0.7410
Cu1 Cu 0.3463 0.5000 0.2393
Cu2 Cu 0.4375 0.2433 0.7302
Sn1 Sn 0.2056 0.5000 0.5223
Sn2 Sn 0.3712 0.0000 0.9995
O1 O 0.0005 0.5000 0.8552
O2 O 0.0236 0.0000 0.8172
O3 O 0.0332 0.0000 0.3301
O4 O 0.0451 0.5000 0.3535
O5 O 0.1261 0.2416 0.6162
O6 O 0.1675 0.5000 0.1187
O7 O 0.1899 0.0000 0.1318
O8 O 0.2543 0.2682 0.3683
O9 O 0.2626 0.2150 0.8797
O10 O 0.3493 0.0000 0.6333
O11 O 0.3739 0.5000 0.6164
O12 O 0.4516 0.2501 0.1178
```

---

Record 2
Computed X-ray powder pattern
Compound: Li4Nb3Cu3Te2O16
Radiation: copper Kα
Structure: a DFT-relaxed cell (GGA-PBE, the Materials Project)
Lines closer than 0.1° are merged.

Largest 10 diffraction maxima, sorted by position, 2θ = 10–80°:
2θ = 16.75°, I = 64, hkl 0 0 2; 2θ = 18.22°, I = 49, hkl 2 0 -1; 2θ = 18.66°, I = 100, hkl 1 1 -1; 2θ = 23.63°, I = 43, hkl 1 1 -2; 2θ = 30.35°, I = 39, hkl 2 0 3; 2θ = 30.50°, I = 40, hkl 1 1 3; 2θ = 33.18°, I = 35, hkl 3 1 -2; 2θ = 33.91°, I = 65, hkl 0 0 4; 2θ = 34.83°, I = 38, hkl 2 2 1; 2θ = 55.30°, I = 39, hkl 2 2 -5

Cell and atoms:
```
data_Li4Nb3Cu3Te2O16
_space_group_name_H-M_alt 'C 1 m 1'
_space_group_IT_number 8
_space_group_name_Hall 'C -2y'
_cell_length_a 10.8901
_cell_length_b 6.0962
_cell_length_c 10.5848
_cell_angle_alpha 90.00
_cell_angle_beta 90.76
_cell_angle_gamma 90.00
loop_
_atom_site_label
_atom_site_type_symbol
_atom_site_fract_x
_atom_site_fract_y
_atom_site_fract_z
Li1 Li 0.0000 0.0000 0.0000
Li2 Li 0.0070 0.0000 0.5225
Li3 Li 0.1656 0.5000 0.9229
Li4 Li 0.3418 0.0000 0.4269
Nb1 Nb 0.0999 0.2507 0.2409
Nb2 Nb 0.1883 0.0000 0.7582
Cu1 Cu 0.3406 0.5000 0.2423
Cu2 Cu 0.4249 0.2452 0.7335
Te1 Te 0.1822 0.5000 0.5389
Te2 Te 0.3690 0.0000 0.0144
O1 O 0.0066 0.0000 0.3332
O2 O 0.0089 0.0000 0.8120
O3 O 0.0165 0.5000 0.3370
O4 O 0.1042 0.2480 0.6199
O5 O 0.1473 0.0000 0.1300
O6 O 0.1640 0.5000 0.1320
O7 O 0.2399 0.2406 0.3445
O8 O 0.2420 0.2290 0.8630
O9 O 0.3382 0.0000 0.6417
O10 O 0.3441 0.5000 0.6171
O11 O 0.4436 0.2479 0.1070
O12 O 0.4854 0.0000 0.8777
```

---

Record 3
Computed X-ray powder pattern
Compound: LiTi3NbCu3O12
Radiation: copper Kα
Structure: a DFT-relaxed cell (GGA-PBE, the Materials Project)
Lines closer than 0.1° are merged.

Largest 10 diffraction maxima, sorted by position, 2θ = 10–80°:
2θ = 16.75°, I = 52, hkl 1 0 0; 2θ = 33.54°, I = 50, hkl 0 0 2; 2θ = 33.78°, I = 100, hkl 0 2 -2; 2θ = 33.88°, I = 99, hkl 2 0 -2; 2θ = 34.00°, I = 49, hkl 2 -2 0; 2θ = 48.46°, I = 28, hkl -2 2 2; 2θ = 48.57°, I = 28, hkl 2 -2 2; 2θ = 48.68°, I = 28, hkl 2 2 -2; 2θ = 60.14°, I = 37, hkl 0 2 -4; 2θ = 60.84°, I = 37, hkl 4 -2 0

Cell and atoms:
```
data_LiTi3NbCu3O12
_space_group_name_H-M_alt 'P 1'
_space_group_IT_number 1
_space_group_name_Hall 'P 1'
_cell_length_a 6.4525
_cell_length_b 6.4788
_cell_length_c 6.5215
_cell_angle_alpha 109.37
_cell_angle_beta 109.38
_cell_angle_gamma 109.29
loop_
_atom_site_label
_atom_site_type_symbol
_atom_site_fract_x
_atom_site_fract_y
_atom_site_fract_z
Li1 Li 0.0000 0.0000 0.0000
Ti1 Ti 0.0327 0.5729 0.1057
Ti2 Ti 0.0494 0.0788 0.6052
Ti3 Ti 0.5280 0.5693 0.6000
Nb1 Nb 0.5496 0.0873 0.1188
Cu1 Cu 0.0438 0.5893 0.6245
Cu2 Cu 0.5450 0.5842 0.1205
Cu3 Cu 0.5494 0.0847 0.6248
O1 O 0.1776 0.9083 0.4365
O2 O 0.2181 0.7829 0.9955
O3 O 0.2248 0.3974 0.6136
O4 O 0.3469 0.2120 0.9429
O5 O 0.3552 0.5750 0.3040
O6 O 0.5350 0.2652 0.4356
O7 O 0.5677 0.9074 0.8197
O8 O 0.7376 0.9544 0.3032
O9 O 0.7424 0.6026 0.9449
O10 O 0.8635 0.7800 0.6350
O11 O 0.8674 0.3999 0.2556
O12 O 0.9212 0.2662 0.8226
```

---

Record 4
Computed X-ray powder pattern
Compound: LiTi2NbCu2O9
Radiation: copper Kα
Structure: a DFT-relaxed cell (GGA-PBE, the Materials Project)
Lines closer than 0.1° are merged.

Largest 10 diffraction maxima, sorted by position, 2θ = 10–80°:
2θ = 16.71°, I = 13, hkl 1 -1 0; 2θ = 16.78°, I = 22, hkl 1 0 -2; 2θ = 29.15°, I = 14, hkl 1 0 4; 2θ = 33.71°, I = 100, hkl 0 0 6; 2θ = 33.90°, I = 49, hkl 2 0 -4; 2θ = 48.39°, I = 15, hkl 2 -2 6; 2θ = 48.51°, I = 14, hkl -2 2 6; 2θ = 48.62°, I = 14, hkl 2 2 -2; 2θ = 60.33°, I = 19, hkl 0 2 -10; 2θ = 60.51°, I = 25, hkl 2 0 -10

Cell and atoms:
```
data_LiTi2NbCu2O9
_space_group_name_H-M_alt 'P 1'
_space_group_IT_number 1
_space_group_name_Hall 'P 1'
_cell_length_a 6.4751
_cell_length_b 6.5291
_cell_length_c 16.3683
_cell_angle_alpha 97.69
_cell_angle_beta 97.35
_cell_angle_gamma 109.66
loop_
_atom_site_label
_atom_site_type_symbol
_atom_site_fract_x
_atom_site_fract_y
_atom_site_fract_z
Li1 Li 0.0000 0.0000 0.0000
Li2 Li 0.0515 0.5951 0.4928
Li3 Li 0.3167 0.7360 0.1445
Li4 Li 0.7034 0.1053 0.8471
Ti1 Ti 0.0036 0.0171 0.5024
Ti2 Ti 0.1856 0.6758 0.3338
Ti3 Ti 0.3305 0.3217 0.1706
Ti4 Ti 0.3419 0.8407 0.6659
Ti5 Ti 0.6772 0.1797 0.3330
Ti6 Ti 0.6780 0.6545 0.8322
Ti7 Ti 0.8384 0.3327 0.6638
Ti8 Ti 0.9890 0.4823 0.9964
Nb1 Nb 0.1646 0.1587 0.8308
Nb2 Nb 0.4869 0.9915 0.0013
Nb3 Nb 0.5098 0.4998 0.4996
Nb4 Nb 0.8481 0.8357 0.1710
Cu1 Cu 0.1668 0.1712 0.3373
Cu2 Cu 0.1685 0.6599 0.8310
Cu3 Cu 0.3323 0.3347 0.6674
Cu4 Cu 0.4933 0.9970 0.5005
Cu5 Cu 0.4967 0.5011 0.0020
Cu6 Cu 0.6681 0.6664 0.3336
Cu7 Cu 0.8321 0.8345 0.6666
Cu8 Cu 0.8381 0.3393 0.1699
O1 O 0.0532 0.8633 0.2748
O2 O 0.0744 0.0583 0.1292
O3 O 0.0742 0.8810 0.6015
O4 O 0.0860 0.4146 0.8924
O5 O 0.1393 0.5144 0.6639
O6 O 0.1509 0.4756 0.2271
O7 O 0.1819 0.8656 0.4411
O8 O 0.1943 0.8070 0.0095
O9 O 0.2419 0.9154 0.7740
O10 O 0.2505 0.4436 0.0653
O11 O 0.2611 0.2770 0.5449
O12 O 0.2745 0.4776 0.3997
O13 O 0.3720 0.1957 0.9395
O14 O 0.4020 0.3938 0.7905
O15 O 0.4109 0.2258 0.2732
O16 O 0.4145 0.7429 0.5588
O17 O 0.4803 0.8057 0.8920
O18 O 0.4802 0.8494 0.3315
O19 O 0.5162 0.1472 0.6696
O20 O 0.5267 0.2060 0.1098
O21 O 0.5675 0.2464 0.4407
O22 O 0.5860 0.7832 0.7303
O23 O 0.5925 0.6127 0.2096
O24 O 0.6171 0.8071 0.0663
O25 O 0.7170 0.5277 0.6052
O26 O 0.7406 0.7195 0.4574
O27 O 0.7435 0.5627 0.9378
O28 O 0.7632 0.0869 0.2285
O29 O 0.8021 0.1906 0.9893
O30 O 0.8053 0.1277 0.5606
O31 O 0.8534 0.4803 0.3389
O32 O 0.8545 0.5332 0.7738
O33 O 0.9147 0.5872 0.1087
O34 O 0.9194 0.1159 0.3993
O35 O 0.9196 0.9448 0.8698
O36 O 0.9444 0.1419 0.7294
```

---

Record 5
Computed X-ray powder pattern
Compound: LiNd14Cu6O28
Radiation: copper Kα
Structure: a DFT-relaxed cell (GGA-PBE, the Materials Project)
Lines closer than 0.1° are merged.

Largest 10 diffraction maxima, sorted by position, 2θ = 10–80°:
2θ = 23.51°, I = 23, hkl 1 1 2; 2θ = 31.33°, I = 100, hkl 1 3 2; 2θ = 31.82°, I = 34, hkl 4 0 1; 2θ = 43.61°, I = 21, hkl 4 4 1; 2θ = 45.62°, I = 26, hkl 2 0 4; 2θ = 55.46°, I = 15, hkl 4 6 1; 2θ = 56.39°, I = 37, hkl 7 3 0; 2θ = 65.38°, I = 9, hkl 2 6 4; 2θ = 66.50°, I = 8, hkl 8 0 2; 2θ = 75.35°, I = 8, hkl 3 3 6

Cell and atoms:
```
data_LiNd14Cu6O28
_space_group_name_H-M_alt 'C 1 2/m 1'
_space_group_IT_number 12
_space_group_name_Hall '-C 2y'
_cell_length_a 12.5717
_cell_length_b 12.3015
_cell_length_c 8.8959
_cell_angle_alpha 90.00
_cell_angle_beta 98.10
_cell_angle_gamma 90.00
loop_
_atom_site_label
_atom_site_type_symbol
_atom_site_fract_x
_atom_site_fract_y
_atom_site_fract_z
Li1 Li 0.0000 0.0000 0.0000
Nd1 Nd 0.0000 0.3505 0.0000
Nd2 Nd 0.0715 0.1488 0.7151
Nd3 Nd 0.1429 0.3499 0.4290
Nd4 Nd 0.2136 0.1489 0.1425
Cu1 Cu 0.0706 0.5000 0.7145
Cu2 Cu 0.1428 0.0000 0.4289
Cu3 Cu 0.2136 0.5000 0.1426
O1 O 0.0000 0.0000 0.5000
O2 O 0.0000 0.2492 0.5000
O3 O 0.0000 0.5000 0.5000
O4 O 0.0711 0.2499 0.2137
O5 O 0.0733 0.5000 0.2140
O6 O 0.0745 0.0000 0.2231
O7 O 0.1426 0.2502 0.9289
O8 O 0.1426 0.5000 0.9284
O9 O 0.1496 0.0000 0.9248
O10 O 0.2118 0.5000 0.6434
O11 O 0.2137 0.0000 0.6388
O12 O 0.2145 0.2500 0.6434
```

---

Record 6
Computed X-ray powder pattern
Compound: LiCu3O3
Radiation: copper Kα
Structure: a DFT-relaxed cell (GGA-PBE, the Materials Project)
Lines closer than 0.1° are merged.

Largest 10 diffraction maxima, sorted by position, 2θ = 10–80°:
2θ = 21.90°, I = 21, hkl 1 0 0; 2θ = 31.16°, I = 55, hkl 1 1 0; 2θ = 38.41°, I = 84, hkl 1 1 1; 2θ = 44.65°, I = 100, hkl 2 0 0; 2θ = 50.26°, I = 10, hkl 2 1 0; 2θ = 55.44°, I = 18, hkl 2 1 1; 2θ = 64.98°, I = 57, hkl 2 2 0; 2θ = 69.46°, I = 5, hkl 3 0 0; 2θ = 73.82°, I = 7, hkl 3 1 0; 2θ = 78.08°, I = 31, hkl 3 1 1

Cell and atoms:
```
data_LiCu3O3
_space_group_name_H-M_alt 'P m -3 m'
_space_group_IT_number 221
_space_group_name_Hall '-P 4 2 3'
_cell_length_a 4.0594
_cell_length_b 4.0594
_cell_length_c 4.0594
_cell_angle_alpha 90.00
_cell_angle_beta 90.00
_cell_angle_gamma 90.00
loop_
_atom_site_label
_atom_site_type_symbol
_atom_site_fract_x
_atom_site_fract_y
_atom_site_fract_z
Li1 Li 0.0000 0.0000 0.0000
Cu1 Cu 0.0000 0.5000 0.5000
O1 O 0.0000 0.0000 0.5000
```

---

Record 7
Computed X-ray powder pattern
Compound: Li5Cu3O6
Radiation: copper Kα
Structure: a DFT-relaxed cell (GGA-PBE, the Materials Project)
Lines closer than 0.1° are merged.

Largest 10 diffraction maxima, sorted by position, 2θ = 10–80°:
2θ = 18.74°, I = 40, hkl 0 1 1; 2θ = 25.56°, I = 100, hkl 1 0 -1; 2θ = 32.89°, I = 13, hkl 1 -1 1; 2θ = 37.24°, I = 10, hkl -1 1 2; 2θ = 42.80°, I = 31, hkl 1 1 3; 2θ = 43.73°, I = 12, hkl 2 1 2; 2θ = 48.58°, I = 11, hkl 2 1 -1; 2θ = 55.70°, I = 13, hkl -2 2 1; 2θ = 58.48°, I = 6, hkl 0 3 3; 2θ = 65.82°, I = 7, hkl -3 1 1

Cell and atoms:
```
data_Li5Cu3O6
_space_group_name_H-M_alt 'P 1'
_space_group_IT_number 1
_space_group_name_Hall 'P 1'
_cell_length_a 4.7797
_cell_length_b 5.2782
_cell_length_c 6.5958
_cell_angle_alpha 67.81
_cell_angle_beta 80.02
_cell_angle_gamma 83.17
loop_
_atom_site_label
_atom_site_type_symbol
_atom_site_fract_x
_atom_site_fract_y
_atom_site_fract_z
Li1 Li 0.0000 0.0000 0.0000
Li2 Li 0.1275 0.4573 0.6927
Li3 Li 0.4553 0.0739 0.0783
Li4 Li 0.6296 0.3332 0.6683
Li5 Li 0.7875 0.7625 0.3846
Cu1 Cu 0.2112 0.0451 0.5330
Cu2 Cu 0.5624 0.7243 0.8604
Cu3 Cu 0.8843 0.3858 0.1960
O1 O 0.0829 0.0396 0.2715
O2 O 0.3397 0.0767 0.7914
O3 O 0.4389 0.7043 0.6081
O4 O 0.7120 0.7451 0.1044
O5 O 0.7711 0.3638 0.9379
O6 O 0.9701 0.3822 0.4665
```

---

Record 8
Computed X-ray powder pattern
Compound: LiCuO
Radiation: copper Kα
Structure: a DFT-relaxed cell (GGA-PBE, the Materials Project)
Lines closer than 0.1° are merged.

Largest 10 diffraction maxima, sorted by position, 2θ = 10–80°:
2θ = 19.44°, I = 61, hkl 0 2 0; 2θ = 27.33°, I = 100, hkl 1 1 0; 2θ = 39.25°, I = 19, hkl 1 3 0; 2θ = 39.46°, I = 11, hkl 0 4 0; 2θ = 42.47°, I = 31, hkl 0 2 2; 2θ = 46.92°, I = 27, hkl 1 1 2; 2θ = 52.37°, I = 10, hkl 2 0 0; 2θ = 55.32°, I = 27, hkl 1 3 2; 2θ = 55.48°, I = 12, hkl 0 4 2; 2θ = 69.62°, I = 12, hkl 2 2 2

Cell and atoms:
```
data_LiCuO
_space_group_name_H-M_alt 'C m c m'
_space_group_IT_number 63
_space_group_name_Hall '-C 2c 2'
_cell_length_a 3.4943
_cell_length_b 9.1341
_cell_length_c 4.8109
_cell_angle_alpha 90.00
_cell_angle_beta 90.00
_cell_angle_gamma 90.00
loop_
_atom_site_label
_atom_site_type_symbol
_atom_site_fract_x
_atom_site_fract_y
_atom_site_fract_z
Li1 Li 0.0000 0.2271 0.2500
Cu1 Cu 0.0000 0.5000 0.0000
O1 O 0.0000 0.3462 0.7500
```